Record 1
Theoretical powder diffractogram of Ti5Tc2H12 for copper Kα, from a DFT-relaxed cell (PBE, Alexandria).
Neutral-atom scattering factors, no anomalous dispersion.

Atomic structure:
Cell lengths 5.489, 5.489, 6.117 Å; angles 102.41, 102.41, 57.24 degrees
Sites, in units of the cell vectors:
1 Ti 0.000 0.000 0.000
2 Ti 0.287 0.287 0.665
3 Ti 0.315 0.315 0.133
4 Ti 0.685 0.685 0.867
5 Ti 0.713 0.713 0.335
6 Tc 0.238 0.762 0.500
7 Tc 0.762 0.238 0.500
8 H 0.068 0.068 0.336
9 H 0.090 0.589 0.915
10 H 0.115 0.509 0.398
11 H 0.411 0.910 0.085
12 H 0.489 0.489 0.701
13 H 0.491 0.885 0.602
14 H 0.509 0.115 0.398
15 H 0.511 0.511 0.299
16 H 0.589 0.090 0.915
17 H 0.885 0.491 0.602
18 H 0.910 0.411 0.085
19 H 0.932 0.932 0.664

Largest 6 diffraction maxima, most intense first, 2θ from 10° to 90°:
Position (°2θ)	I/Imax
14.94	100
33.98	79
39.32	76
37.42	69
39.79	66
33.44	64

---

Record 2
Theoretical powder diffractogram of TcHW for copper Kα, from a DFT-relaxed cell (PBE, Alexandria).
Neutral-atom scattering factors, no anomalous dispersion.

Atomic structure:
Cell lengths 4.916, 4.916, 4.959 Å; angles 99.15, 99.15, 33.64 degrees
Sites, in units of the cell vectors:
1 Tc 0.000 0.000 0.000
2 Tc 0.500 0.500 0.500
3 H 0.116 0.116 0.369
4 H 0.884 0.884 0.631
5 W 0.246 0.246 0.755
6 W 0.754 0.754 0.245

Largest 6 diffraction maxima, most intense first, 2θ from 10° to 90°:
Position (°2θ)	I/Imax
38.66	100
45.15	44
38.81	33
44.67	23
78.91	17
19.13	15

---

Record 3
Theoretical powder diffractogram of ZnTcH2 for copper Kα, from a DFT-relaxed cell (PBE, Alexandria).
Neutral-atom scattering factors, no anomalous dispersion.

Atomic structure:
Cell lengths 5.199, 5.199, 5.199 Å; angles 32.80, 32.80, 32.80 degrees
Sites, in units of the cell vectors:
1 Zn 0.000 0.000 0.000
2 Tc 0.181 0.181 0.181
3 H 0.565 0.565 0.565
4 H 0.789 0.789 0.789

Largest 6 diffraction maxima, most intense first, 2θ from 10° to 90°:
Position (°2θ)	I/Imax
35.84	100
47.20	60
36.56	41
43.23	36
75.43	28
63.36	26

---

Record 4
Theoretical powder diffractogram of Te8H for copper Kα, from a DFT-relaxed cell (PBE, Alexandria).
Neutral-atom scattering factors, no anomalous dispersion.

Atomic structure:
Cell lengths 6.226, 6.230, 9.379 Å; angles 70.72, 83.36, 86.63 degrees
Sites, in units of the cell vectors:
1 Te 0.000 0.000 0.000
2 Te 0.011 0.322 0.518
3 Te 0.023 0.900 0.738
4 Te 0.455 0.292 0.392
5 Te 0.474 0.946 0.050
6 Te 0.485 0.440 0.068
7 Te 0.499 0.787 0.382
8 Te 0.568 0.512 0.712
9 H 0.328 0.387 0.722

Largest 6 diffraction maxima, most intense first, 2θ from 10° to 90°:
Position (°2θ)	I/Imax
28.88	100
30.44	78
35.17	44
19.94	40
28.71	38
16.66	36

---

Record 5
Theoretical powder diffractogram of Th2TeH for copper Kα, from a DFT-relaxed cell (PBE, Alexandria).
Neutral-atom scattering factors, no anomalous dispersion.

Atomic structure:
Cell lengths 6.262, 6.257, 12.112 Å; angles 90.00, 120.87, 90.00 degrees
Sites, in units of the cell vectors:
1 Th 0.061 0.245 0.069
2 Th 0.061 0.755 0.569
3 Th 0.310 0.259 0.822
4 Th 0.310 0.741 0.322
5 Th 0.690 0.259 0.678
6 Th 0.690 0.741 0.178
7 Th 0.939 0.245 0.431
8 Th 0.939 0.755 0.931
9 Te 0.382 0.243 0.373
10 Te 0.382 0.757 0.873
11 Te 0.618 0.243 0.127
12 Te 0.618 0.757 0.627
13 H 0.013 0.110 0.873
14 H 0.013 0.890 0.373
15 H 0.987 0.110 0.627
16 H 0.987 0.890 0.127

Largest 6 diffraction maxima, most intense first, 2θ from 10° to 90°:
Position (°2θ)	I/Imax
28.52	100
29.44	54
40.77	38
26.46	36
41.40	33
41.53	26